This entry pairs a crystal structure of CsAlZnSb2 with its theoretical powder diffraction line list. Radiation: CuKα. Structure: DFT lattice parameters and positions (PBE).
Intensities are scaled so that the largest is 100.

The 10 most intense peaks (15 to 90 degrees two-theta), in order of falling intensity:
2θ (°)	Rel. int.
25.12	100.0
26.90	30.0
46.45	18.7
45.76	14.5
43.12	14.1
38.01	12.4
51.56	12.3
26.35	11.0
33.74	9.1
28.64	8.4

Lattice parameters (Å, degrees): 8.6798 8.6798 6.7657 90.00 90.00 135.11
Element x y z (fractional)
1 Cs 0.2500 0.7500 0.7637
2 Cs 0.7500 0.2500 0.2364
3 Al 0.2500 0.2500 0.5000
4 Al 0.7500 0.7500 0.5000
5 Zn 0.0000 0.0000 0.0000
6 Zn 0.5000 0.5000 0.0000
7 Sb 0.1034 0.8966 0.2862
8 Sb 0.3966 0.6034 0.2862
9 Sb 0.6034 0.3966 0.7138
10 Sb 0.8966 0.1034 0.7138



This entry pairs a crystal structure of Sr2CdGa2Pd5 with its theoretical powder diffraction line list. Radiation: CuKα. Structure: DFT lattice parameters and positions (PBE).
Intensities are scaled so that the largest is 100.

The 10 most intense peaks (15 to 90 degrees two-theta), in order of falling intensity:
2θ (°)	Rel. int.
36.70	100.0
35.96	46.7
39.81	43.9
34.49	30.5
62.29	22.7
49.04	22.6
39.13	20.0
63.00	16.0
30.93	13.2
42.74	12.5

Lattice parameters (Å, degrees): 10.2964 10.2964 3.7151 90.00 90.00 90.00
Element x y z (fractional)
1 Sr 0.1784 0.3216 0.0000
2 Sr 0.3216 0.8216 0.0000
3 Sr 0.6784 0.1784 0.0000
4 Sr 0.8216 0.6784 0.0000
5 Cd 0.0000 0.0000 0.0000
6 Cd 0.5000 0.5000 0.0000
7 Ga 0.1191 0.6191 0.0000
8 Ga 0.3809 0.1191 0.0000
9 Ga 0.6191 0.8809 0.0000
10 Ga 0.8809 0.3809 0.0000
11 Pd 0.0000 0.5000 0.5000
12 Pd 0.0639 0.7880 0.5000
13 Pd 0.2120 0.0639 0.5000
14 Pd 0.2880 0.5639 0.5000
15 Pd 0.4361 0.2880 0.5000
16 Pd 0.5000 0.0000 0.5000
17 Pd 0.5639 0.7120 0.5000
18 Pd 0.7120 0.4361 0.5000
19 Pd 0.7880 0.9361 0.5000
20 Pd 0.9361 0.2120 0.5000



This entry pairs a crystal structure of Sn2Sb2Au with its theoretical powder diffraction line list. Radiation: CuKα. Structure: DFT lattice parameters and positions (PBE).
Intensities are scaled so that the largest is 100.

The 10 most intense peaks (15 to 90 degrees two-theta), in order of falling intensity:
2θ (°)	Rel. int.
33.58	100.0
15.35	72.4
34.76	45.5
19.20	31.3
47.27	28.3
33.14	25.4
66.11	18.9
48.53	15.8
78.72	13.4
68.57	13.3

Lattice parameters (Å, degrees): 6.0919 6.0919 7.7252 90.00 90.00 142.69
Element x y z (fractional)
1 Sn 0.1405 0.8595 0.0000
2 Sn 0.8595 0.1405 0.0000
3 Sb 0.5000 0.5000 0.2455
4 Sb 0.5000 0.5000 0.7545
5 Au 0.0000 0.0000 0.5000



This entry pairs a crystal structure of Pu2HgBi3 with its theoretical powder diffraction line list. Radiation: CuKα. Structure: DFT lattice parameters and positions (PBE).
Intensities are scaled so that the largest is 100.

The 10 most intense peaks (15 to 90 degrees two-theta), in order of falling intensity:
2θ (°)	Rel. int.
32.82	100.0
29.04	78.8
36.67	46.8
33.46	43.4
33.56	42.6
33.07	29.8
16.36	26.1
46.65	25.6
45.98	25.2
60.20	23.0

Lattice parameters (Å, degrees): 6.6899 4.9012 6.7177 90.00 107.84 90.00
Element x y z (fractional)
1 Pu 0.1934 0.0000 0.3055
2 Pu 0.8066 0.0000 0.6945
3 Hg 0.5000 0.0000 0.0000
4 Bi 0.0000 0.5000 0.0000
5 Bi 0.0000 0.5000 0.5000
6 Bi 0.5000 0.5000 0.5000



Please write out number 4 again, unchanged.
This entry pairs a crystal structure of Pu2HgBi3 with its theoretical powder diffraction line list. Radiation: CuKα. Structure: DFT lattice parameters and positions (PBE).
Intensities are scaled so that the largest is 100.

The 10 most intense peaks (15 to 90 degrees two-theta), in order of falling intensity:
2θ (°)	Rel. int.
32.82	100.0
29.04	78.8
36.67	46.8
33.46	43.4
33.56	42.6
33.07	29.8
16.36	26.1
46.65	25.6
45.98	25.2
60.20	23.0

Lattice parameters (Å, degrees): 6.6899 4.9012 6.7177 90.00 107.84 90.00
Element x y z (fractional)
1 Pu 0.1934 0.0000 0.3055
2 Pu 0.8066 0.0000 0.6945
3 Hg 0.5000 0.0000 0.0000
4 Bi 0.0000 0.5000 0.0000
5 Bi 0.0000 0.5000 0.5000
6 Bi 0.5000 0.5000 0.5000